Diffraction record for LiPuPdO6. The PXRD pattern is theoretical, not measured: it uses DFT lattice parameters and positions (PBE) and Cu Kα X-rays.

Structural model:
abc: 4.768 4.768 9.347
angles: 90.00 90.00 90.00
Space group P4_2nm (No. 102)
Asymmetric unit:
Li1 0.000 0.000 0.000 [2 per cell]
Pu1 0.000 0.000 0.667 [2 per cell]
Pd1 0.000 0.000 0.330 [2 per cell]
O1 0.189 0.189 0.501 [4 per cell]
O2 0.198 0.198 0.170 [4 per cell]
O3 0.198 0.198 0.827 [4 per cell]

Top 8 peaks for 2θ from 15° to 90°, sorted by position:
2θ 18.99, I 34
2θ 20.91, I 100
2θ 26.44, I 96
2θ 32.75, I 35
2θ 34.38, I 74
2θ 43.53, I 30
2θ 51.96, I 64
2θ 66.02, I 34

***

Diffraction record for YTm5In2. The PXRD pattern is theoretical, not measured: it uses DFT lattice parameters and positions (PBE) and Cu Kα X-rays.

Structural model:
abc: 4.490 9.629 11.118
angles: 90.00 90.00 90.00
Space group Immm (No. 71)
Asymmetric unit:
Y1 0.000 0.000 0.000 [2 per cell]
Tm1 0.000 0.188 0.347 [8 per cell]
Tm2 0.000 0.500 0.000 [2 per cell]
In1 0.000 0.500 0.287 [4 per cell]

Top 8 peaks for 2θ from 15° to 90°, sorted by position:
2θ 28.34, I 53
2θ 31.30, I 100
2θ 34.35, I 60
2θ 37.05, I 39
2θ 37.36, I 39
2θ 40.17, I 31
2θ 56.01, I 24
2θ 65.27, I 25

***

Diffraction record for NaPrSb3. The PXRD pattern is theoretical, not measured: it uses DFT lattice parameters and positions (PBE) and Cu Kα X-rays.

Structural model:
abc: 6.491 14.531 6.179
angles: 90.00 90.60 90.00
Space group P2/c (No. 13)
Asymmetric unit:
Na1 0.000 0.094 0.250 [2 per cell]
Na2 0.500 0.103 0.250 [2 per cell]
Pr1 0.253 0.325 0.511 [4 per cell]
Sb1 0.000 0.497 0.250 [2 per cell]
Sb2 0.244 0.266 0.003 [4 per cell]
Sb3 0.271 0.103 0.739 [4 per cell]
Sb4 0.500 0.497 0.250 [2 per cell]

Top 8 peaks for 2θ from 15° to 90°, sorted by position:
2θ 27.48, I 29
2θ 30.16, I 76
2θ 30.77, I 73
2θ 31.47, I 100
2θ 33.23, I 45
2θ 34.43, I 71
2θ 40.56, I 42
2θ 41.02, I 27

***

Diffraction record for TlCuICl2. The PXRD pattern is theoretical, not measured: it uses DFT lattice parameters and positions (PBE) and Cu Kα X-rays.

Structural model:
abc: 4.359 16.051 8.522
angles: 90.00 90.00 90.00
Space group Cmcm (No. 63)
Asymmetric unit:
Tl1 0.000 0.206 0.250 [4 per cell]
Cu1 0.000 0.500 0.000 [4 per cell]
I1 0.000 0.007 0.750 [4 per cell]
Cl1 0.000 0.363 0.508 [8 per cell]

Top 8 peaks for 2θ from 15° to 90°, sorted by position:
2θ 15.16, I 26
2θ 22.15, I 27
2θ 23.59, I 78
2θ 24.52, I 37
2θ 28.41, I 31
2θ 29.85, I 100
2θ 34.70, I 29
2θ 40.83, I 63

***

Diffraction record for CaAc3. The PXRD pattern is theoretical, not measured: it uses DFT lattice parameters and positions (PBE) and Cu Kα X-rays.

Structural model:
abc: 11.166 11.162 5.684
angles: 90.00 90.00 90.00
Space group Cmcm (No. 63)
Asymmetric unit:
Ca1 0.000 0.124 0.250 [4 per cell]
Ac1 0.000 0.379 0.750 [4 per cell]
Ac2 0.247 0.375 0.250 [8 per cell]

Top 8 peaks for 2θ from 15° to 90°, sorted by position:
2θ 27.51, I 100
2θ 31.48, I 18
2θ 32.07, I 34
2θ 45.55, I 26
2θ 53.66, I 16
2θ 54.43, I 31
2θ 56.80, I 14
2θ 73.30, I 13

***

Diffraction record for Rb2ZrI2Cl4. The PXRD pattern is theoretical, not measured: it uses DFT lattice parameters and positions (PBE) and Cu Kα X-rays.

Structural model:
abc: 7.758 7.758 11.139
angles: 90.00 90.00 90.00
Space group I4/mmm (No. 139)
Asymmetric unit:
Rb1 0.000 0.500 0.250 [4 per cell]
Zr1 0.000 0.000 0.000 [2 per cell]
I1 0.000 0.000 0.262 [4 per cell]
Cl1 0.226 0.226 0.000 [8 per cell]

Top 8 peaks for 2θ from 15° to 90°, sorted by position:
2θ 16.16, I 27
2θ 22.93, I 53
2θ 28.03, I 100
2θ 32.14, I 34
2θ 32.65, I 64
2θ 39.85, I 24
2θ 46.47, I 44
2θ 55.48, I 24

***

Diffraction record for CsLiAuF6. The PXRD pattern is theoretical, not measured: it uses DFT lattice parameters and positions (PBE) and Cu Kα X-rays.

Structural model:
abc: 5.606 9.391 6.605
angles: 90.00 90.69 90.00
Space group C2 (No. 5)
Asymmetric unit:
Cs1 0.000 0.000 0.000 [2 per cell]
Li1 0.000 0.680 0.500 [2 per cell]
Au1 0.000 0.335 0.500 [2 per cell]
F1 0.134 0.492 0.666 [4 per cell]
F2 0.168 0.190 0.666 [4 per cell]
F3 0.181 0.808 0.686 [4 per cell]

Top 8 peaks for 2θ from 15° to 90°, sorted by position:
2θ 18.43, I 53
2θ 22.75, I 100
2θ 22.98, I 96
2θ 23.24, I 90
2θ 27.00, I 26
2θ 32.76, I 48
2θ 43.09, I 41
2θ 45.50, I 26

***

Diffraction record for Gd2TmS. The PXRD pattern is theoretical, not measured: it uses DFT lattice parameters and positions (PBE) and Cu Kα X-rays.

Structural model:
abc: 3.6696 3.6696 30.3098
angles: 90.00 90.00 120.00
Space group R-3m (No. 166, hexagonal axes)
Asymmetric unit:
Gd1 0.0000 0.0000 0.1114 [6 per cell]
Tm1 0.0000 0.0000 0.0000 [3 per cell]
S1 0.0000 0.0000 0.5000 [3 per cell]

Top 8 peaks for 2θ from 15° to 90°, sorted by position:
2θ 26.47, I 56
2θ 28.23, I 100
2θ 28.70, I 45
2θ 36.92, I 70
2θ 41.16, I 50
2θ 49.69, I 40
2θ 57.17, I 41
2θ 76.84, I 22